Structure and theoretical powder diffraction line list of NaInSn (a structure optimized by DFT (GGA-PBE); CuKα).

Cell and atoms:
```
NaInSn
1.0
6.216 0.000 0.000
0.000 3.219 0.000
-1.217 0.000 8.036
Na In Sn
2 2 2
Direct
0.000 0.000 0.000
0.380 0.000 0.367
0.188 0.500 0.685
0.874 0.500 0.338
0.505 0.500 0.025
0.688 0.500 0.685
```

Main lines, in order of rising 2θ (10° ≤ 2θ ≤ 90°):
| 2θ/deg | Rel. int. |
| --- | --- |
| 16.80 | 59 |
| 27.71 | 100 |
| 32.58 | 56 |
| 32.72 | 96 |
| 33.45 | 91 |
| 33.97 | 84 |
| 43.40 | 60 |
| 43.97 | 62 |
| 44.39 | 53 |
| 68.23 | 41 |


Structure and theoretical powder diffraction line list of TlPtAu (a structure optimized by DFT (GGA-PBE); CuKα).

Cell and atoms:
```
TlPtAu
1.0
3.984 -2.487 0.000
3.984 2.487 0.000
-3.830 0.000 6.460
Tl Pt Au
2 2 2
Direct
0.131 0.131 0.317
0.869 0.869 0.683
0.475 0.475 0.304
0.525 0.525 0.696
0.287 0.287 0.880
0.713 0.713 0.120
```

Main lines, in order of rising 2θ (10° ≤ 2θ ≤ 90°):
| 2θ/deg | Rel. int. |
| --- | --- |
| 27.62 | 34 |
| 29.83 | 55 |
| 35.36 | 34 |
| 36.11 | 81 |
| 38.93 | 100 |
| 39.23 | 23 |
| 40.72 | 47 |
| 44.41 | 30 |
| 51.43 | 24 |
| 66.82 | 21 |


Structure and theoretical powder diffraction line list of Li5AgGe3 (a structure optimized by DFT (GGA-PBE); CuKα).

Cell and atoms:
```
Li5AgGe3
1.0
4.732 -4.822 0.000
4.732 4.822 0.000
-2.192 0.000 8.050
Li Ag Ge
10 2 6
Direct
0.169 0.703 0.322
0.235 0.765 0.000
0.247 0.247 0.420
0.251 0.251 0.081
0.297 0.831 0.678
0.703 0.169 0.322
0.749 0.749 0.919
0.753 0.753 0.580
0.765 0.235 0.000
0.831 0.297 0.678
0.257 0.257 0.752
0.743 0.743 0.248
0.000 0.000 0.500
0.002 0.002 0.170
0.497 0.497 0.340
0.500 0.500 0.000
0.503 0.503 0.660
0.998 0.998 0.830
```

Main lines, in order of rising 2θ (10° ≤ 2θ ≤ 90°):
| 2θ/deg | Rel. int. |
| --- | --- |
| 15.61 | 28 |
| 18.40 | 100 |
| 18.89 | 19 |
| 37.30 | 20 |
| 38.52 | 33 |
| 39.47 | 16 |
| 39.62 | 30 |
| 43.88 | 22 |
| 47.15 | 19 |
| 48.08 | 18 |